# La2MnPO8
Theoretical XRD peak list, Cu Kα (λ = 1.5418 Å). Input: DFT lattice parameters and positions (GGA+U).

Largest 10 diffraction maxima, sorted by position, 5 to 70 degrees two-theta:
- 2θ = 24.58°, I = 83, hkl 1 0 1
- 2θ = 27.21°, I = 100, hkl 1 1 0
- 2θ = 36.99°, I = 14, hkl 0 2 1
- 2θ = 41.56°, I = 17, hkl 0 1 2
- 2θ = 46.52°, I = 40, hkl 2 1 1
- 2θ = 47.59°, I = 12, hkl 1 1 2
- 2θ = 48.08°, I = 16, hkl 3 0 0
- 2θ = 50.39°, I = 16, hkl 2 0 2
- 2θ = 56.12°, I = 14, hkl 2 2 0
- 2θ = 58.20°, I = 22, hkl 1 2 2

Crystal structure
Cell lengths 6.5552, 6.5552, 4.7040 Å; angles 90.00, 90.00, 120.00 degrees
Fractional positions:
La1 0.3333 0.6667 0.2359
La2 0.6667 0.3333 0.7641
Mn1 0.0000 0.0000 0.5000
P1 0.0000 0.0000 0.0000
O1 0.1202 0.2404 0.2197
O2 0.1202 0.8798 0.2197
O3 0.2404 0.1202 0.7803
O4 0.3333 0.6667 0.7188
O5 0.6667 0.3333 0.2812
O6 0.7596 0.8798 0.2197
O7 0.8798 0.1202 0.7803
O8 0.8798 0.7596 0.7803